[1]
The following is a calculated powder diffractogram of Ca2PaH12Rh3. It was derived from the PBE geometry in Alexandria, using a wavelength of 1.5418 Å.
Intensities are scaled so that the largest is 1000.

Principal peaks in the range 2θ = 10–80°, in order of falling intensity:
| 2θ (°) | I_rel |
| --- | --- |
| 16.30 | 1000 |
| 32.76 | 767 |
| 32.95 | 721 |
| 40.33 | 292 |
| 36.27 | 289 |
| 53.55 | 248 |
| 50.35 | 230 |
| 40.81 | 205 |
| 52.89 | 196 |
| 26.03 | 180 |

Crystal structure
Lattice parameters (Å, degrees): 6.022 6.022 6.022 69.28 69.28 69.28
Fractional positions:
Ca 0.124 0.124 0.124
Ca 0.876 0.876 0.876
Pa 0.500 0.500 0.500
H 0.092 0.640 0.640
H 0.222 0.222 0.607
H 0.222 0.607 0.222
H 0.360 0.360 0.908
H 0.360 0.908 0.360
H 0.393 0.778 0.778
H 0.607 0.222 0.222
H 0.640 0.092 0.640
H 0.640 0.640 0.092
H 0.778 0.393 0.778
H 0.778 0.778 0.393
H 0.908 0.360 0.360
Rh 0.000 0.500 0.500
Rh 0.500 0.000 0.500
Rh 0.500 0.500 0.000

=====

[2]
The following is a calculated powder diffractogram of Ba2LaTm3O8. It was derived from the PBE geometry in Alexandria, using a wavelength of 1.5418 Å.
Intensities are scaled so that the largest is 1000.

Principal peaks in the range 2θ = 10–80°, in order of falling intensity:
| 2θ (°) | I_rel |
| --- | --- |
| 29.58 | 1000 |
| 30.11 | 670 |
| 28.49 | 664 |
| 31.30 | 545 |
| 50.01 | 491 |
| 52.71 | 466 |
| 47.01 | 367 |
| 24.40 | 352 |
| 35.70 | 333 |
| 47.73 | 271 |

Crystal structure
Lattice parameters (Å, degrees): 7.314 7.314 7.314 56.69 56.69 56.69
Fractional positions:
Ba 0.000 0.000 0.000
Ba 0.376 0.376 0.376
La 0.762 0.762 0.762
Tm 0.375 0.375 0.883
Tm 0.375 0.883 0.375
Tm 0.883 0.375 0.375
O 0.125 0.125 0.567
O 0.125 0.567 0.125
O 0.147 0.147 0.147
O 0.156 0.635 0.635
O 0.567 0.125 0.125
O 0.612 0.612 0.612
O 0.635 0.156 0.635
O 0.635 0.635 0.156

=====

[3]
The following is a calculated powder diffractogram of Ce5GeTe4. It was derived from the PBE geometry in Alexandria, using a wavelength of 1.5418 Å.
Intensities are scaled so that the largest is 1000.

Principal peaks in the range 2θ = 10–80°, in order of falling intensity:
| 2θ (°) | I_rel |
| --- | --- |
| 28.36 | 1000 |
| 40.54 | 750 |
| 66.43 | 328 |
| 50.21 | 262 |
| 73.75 | 237 |
| 58.67 | 121 |
| 24.50 | 24 |
| 35.52 | 17 |
| 58.28 | 12 |
| 30.46 | 12 |

Crystal structure
Lattice parameters (Å, degrees): 7.708 7.708 7.708 99.60 99.60 131.79
Fractional positions:
Ce 0.000 0.000 0.000
Ce 0.215 0.598 0.813
Ce 0.402 0.215 0.617
Ce 0.598 0.785 0.383
Ce 0.785 0.402 0.187
Ge 0.500 0.500 0.000
Te 0.094 0.304 0.398
Te 0.304 0.906 0.209
Te 0.696 0.094 0.791
Te 0.906 0.696 0.602